# 1
Calculated powder XRD pattern
Compound: KOsS4
Radiation: Cu Kα (weighted mean of Kα1 and Kα2)
Structure: the PBE geometry in Alexandria
Neutral-atom scattering factors, no anomalous dispersion.

Structure:
Lattice parameters (Å, degrees): 8.072 8.072 6.077 100.42 100.42 51.14
Element x y z (fractional)
K 0.203 0.203 0.196
K 0.797 0.797 0.804
Os 0.473 0.473 0.757
Os 0.527 0.527 0.243
S 0.223 0.628 0.425
S 0.239 0.761 0.000
S 0.311 0.311 0.757
S 0.372 0.777 0.575
S 0.628 0.223 0.425
S 0.689 0.689 0.243
S 0.761 0.239 0.000
S 0.777 0.372 0.575

Peak list (10 most intense, 2θ = 5–70°, low angle first)
7.133 Å, rel. 61; 6.261 Å, rel. 100; 3.928 Å, rel. 23; 3.564 Å, rel. 17; 3.484 Å, rel. 9; 2.785 Å, rel. 13; 2.600 Å, rel. 12; 2.378 Å, rel. 12; 2.262 Å, rel. 29; 1.780 Å, rel. 9

***

# 2
Calculated powder XRD pattern
Compound: ScCoNi6
Radiation: Cu Kα (weighted mean of Kα1 and Kα2)
Structure: the PBE geometry in Alexandria
Neutral-atom scattering factors, no anomalous dispersion.

Structure:
Lattice parameters (Å, degrees): 6.271 6.271 10.260 90.00 90.00 109.73
Element x y z (fractional)
Sc 0.000 0.000 0.249
Sc 0.000 0.000 0.751
Sc 0.244 0.756 0.500
Sc 0.756 0.244 0.500
Co 0.239 0.761 0.000
Co 0.500 0.500 0.246
Co 0.500 0.500 0.754
Co 0.761 0.239 0.000
Ni 0.000 0.000 0.000
Ni 0.000 0.000 0.500
Ni 0.131 0.388 0.119
Ni 0.131 0.388 0.881
Ni 0.139 0.384 0.368
Ni 0.139 0.384 0.632
Ni 0.255 0.745 0.239
Ni 0.255 0.745 0.761
Ni 0.384 0.139 0.368
Ni 0.384 0.139 0.632
Ni 0.388 0.131 0.119
Ni 0.388 0.131 0.881
Ni 0.500 0.500 0.000
Ni 0.500 0.500 0.500
Ni 0.612 0.869 0.119
Ni 0.612 0.869 0.881
Ni 0.616 0.861 0.368
Ni 0.616 0.861 0.632
Ni 0.745 0.255 0.239
Ni 0.745 0.255 0.761
Ni 0.861 0.616 0.368
Ni 0.861 0.616 0.632
Ni 0.869 0.612 0.119
Ni 0.869 0.612 0.881

Peak list (8 most intense, 2θ = 5–70°, low angle first)
10.260 Å, rel. 2; 5.903 Å, rel. 1; 4.587 Å, rel. 1; 2.560 Å, rel. 1; 2.090 Å, rel. 100; 1.813 Å, rel. 31; 1.804 Å, rel. 15; 1.784 Å, rel. 1

***

# 3
Calculated powder XRD pattern
Compound: V2TcHIr
Radiation: Cu Kα (weighted mean of Kα1 and Kα2)
Structure: the PBE geometry in Alexandria
Neutral-atom scattering factors, no anomalous dispersion.

Structure:
Lattice parameters (Å, degrees): 3.911 3.911 3.781 90.00 90.00 90.00
Element x y z (fractional)
V 0.000 0.500 0.000
V 0.500 0.000 0.000
Tc 0.000 0.000 0.500
H 0.000 0.000 0.000
Ir 0.500 0.500 0.500

Peak list (10 most intense, 2θ = 5–70°, low angle first)
3.911 Å, rel. 10; 3.781 Å, rel. 23; 2.766 Å, rel. 22; 2.719 Å, rel. 9; 2.232 Å, rel. 100; 1.956 Å, rel. 34; 1.891 Å, rel. 15; 1.737 Å, rel. 12; 1.383 Å, rel. 11; 1.359 Å, rel. 20

***

# 4
Calculated powder XRD pattern
Compound: Al5Ru6W
Radiation: Cu Kα (weighted mean of Kα1 and Kα2)
Structure: the PBE geometry in Alexandria
Neutral-atom scattering factors, no anomalous dispersion.

Structure:
Lattice parameters (Å, degrees): 4.279 6.068 6.733 90.00 108.36 90.00
Element x y z (fractional)
Al 0.000 0.000 0.000
Al 0.332 0.500 0.665
Al 0.334 0.000 0.669
Al 0.666 0.000 0.331
Al 0.668 0.500 0.335
Ru 0.167 0.249 0.334
Ru 0.167 0.751 0.334
Ru 0.500 0.248 0.000
Ru 0.500 0.752 0.000
Ru 0.833 0.249 0.666
Ru 0.833 0.751 0.666
W 0.000 0.500 0.000

Peak list (10 most intense, 2θ = 5–70°, low angle first)
6.391 Å, rel. 8; 6.068 Å, rel. 7; 4.400 Å, rel. 7; 3.373 Å, rel. 8; 3.019 Å, rel. 11; 2.140 Å, rel. 100; 2.130 Å, rel. 20; 1.517 Å, rel. 7; 1.512 Å, rel. 7; 1.507 Å, rel. 6

***

# 5
Calculated powder XRD pattern
Compound: Nb4PdPt12
Radiation: Cu Kα (weighted mean of Kα1 and Kα2)
Structure: the PBE geometry in Alexandria
Neutral-atom scattering factors, no anomalous dispersion.

Structure:
Lattice parameters (Å, degrees): 7.180 7.180 7.180 109.47 109.47 109.47
Element x y z (fractional)
Nb 0.000 0.000 0.500
Nb 0.000 0.500 0.000
Nb 0.500 0.000 0.000
Nb 0.500 0.500 0.500
Pd 0.000 0.000 0.000
Pt 0.000 0.298 0.298
Pt 0.000 0.702 0.702
Pt 0.250 0.500 0.750
Pt 0.250 0.750 0.500
Pt 0.298 0.000 0.298
Pt 0.298 0.298 0.000
Pt 0.500 0.250 0.750
Pt 0.500 0.750 0.250
Pt 0.702 0.000 0.702
Pt 0.702 0.702 0.000
Pt 0.750 0.250 0.500
Pt 0.750 0.500 0.250

Peak list (10 most intense, 2θ = 5–70°, low angle first)
5.863 Å, rel. 3; 4.145 Å, rel. 17; 2.622 Å, rel. 6; 2.393 Å, rel. 100; 2.216 Å, rel. 11; 2.073 Å, rel. 57; 1.954 Å, rel. 11; 1.768 Å, rel. 13; 1.692 Å, rel. 3; 1.466 Å, rel. 31

***

# 6
Calculated powder XRD pattern
Compound: Na3Ag2Bi3
Radiation: Cu Kα (weighted mean of Kα1 and Kα2)
Structure: the PBE geometry in Alexandria
Neutral-atom scattering factors, no anomalous dispersion.

Structure:
Lattice parameters (Å, degrees): 6.093 6.093 17.865 90.00 90.00 136.32
Element x y z (fractional)
Na 0.065 0.935 0.621
Na 0.065 0.935 0.879
Na 0.348 0.652 0.750
Na 0.652 0.348 0.250
Na 0.935 0.065 0.121
Na 0.935 0.065 0.379
Ag 0.226 0.774 0.117
Ag 0.226 0.774 0.383
Ag 0.774 0.226 0.617
Ag 0.774 0.226 0.883
Bi 0.363 0.637 0.250
Bi 0.367 0.633 0.529
Bi 0.367 0.633 0.971
Bi 0.633 0.367 0.029
Bi 0.633 0.367 0.471
Bi 0.637 0.363 0.750

Peak list (10 most intense, 2θ = 5–70°, low angle first)
8.933 Å, rel. 33; 4.208 Å, rel. 47; 4.099 Å, rel. 100; 3.063 Å, rel. 68; 2.606 Å, rel. 43; 2.432 Å, rel. 54; 2.389 Å, rel. 45; 2.267 Å, rel. 34; 2.182 Å, rel. 54; 1.644 Å, rel. 32